Theoretical X-ray powder pattern
Compound: CuBPOsS
Radiation: λ = 1.5418 Å (Cu Kα)
Structure: a DFT-relaxed cell (GGA-PBE, Alexandria)

Structure:
Cell: 3.0667 4.0617 6.0211 Å, 77.65 79.98 70.73°
Element x y z (fractional)
Cu  0.0000  0.0000  0.0000
B  0.4719  0.6461  0.5982
P  0.3439  0.0655  0.3748
Os  0.6817  0.5053  0.2613
S  0.9333  0.5629  0.7992

Largest 8 diffraction maxima, by angle, 2θ = 5–70°:
2θ (°)  intensity
15.16  100
23.54  19
25.83  20
32.91  32
33.13  38
35.53  36
39.56  23
47.63  29

=====

Theoretical X-ray powder pattern
Compound: YCdIn
Radiation: λ = 1.5418 Å (Cu Kα)
Structure: a DFT-relaxed cell (GGA-PBE, Alexandria)

Structure:
Cell: 4.6923 4.5655 7.4664 Å, 90.00 108.21 90.00°
Element x y z (fractional)
Y  0.1567  0.0000  0.3122
Y  0.8433  0.0000  0.6878
Cd  0.3282  0.5000  0.6568
Cd  0.6718  0.5000  0.3432
In  0.0000  0.5000  0.0000
In  0.5000  0.0000  0.0000

Largest 8 diffraction maxima, by angle, 2θ = 5–70°:
2θ (°)  intensity
33.30  100
38.06  17
38.37  17
39.48  16
56.22  11
65.76  12
67.69  12
69.92  10

=====

Theoretical X-ray powder pattern
Compound: CaTiIn
Radiation: λ = 1.5418 Å (Cu Kα)
Structure: a DFT-relaxed cell (GGA-PBE, Alexandria)

Structure:
Cell: 13.1695 13.1695 13.1695 Å, 165.00 165.00 21.28°
Element x y z (fractional)
Ca  0.0704  0.0704  0.0000
Ca  0.9296  0.9296  0.0000
Ti  0.2224  0.2224  0.0000
Ti  0.7776  0.7776  0.0000
In  0.3434  0.3434  0.0000
In  0.6566  0.6566  0.0000

Largest 8 diffraction maxima, by angle, 2θ = 5–70°:
2θ (°)  intensity
6.83  100
13.68  15
27.93  42
35.65  72
36.97  42
40.91  20
53.28  14
65.77  22

=====

Theoretical X-ray powder pattern
Compound: TiAlS3
Radiation: λ = 1.5418 Å (Cu Kα)
Structure: a DFT-relaxed cell (GGA-PBE, Alexandria)

Structure:
Cell: 9.5358 9.5358 6.2908 Å, 90.00 90.00 159.12°
Element x y z (fractional)
Ti  0.1747  0.8253  0.5000
Ti  0.8253  0.1747  0.0000
Al  0.3451  0.6549  0.4914
Al  0.6549  0.3451  0.9914
S  0.1030  0.8970  0.1742
S  0.2477  0.7523  0.8326
S  0.3983  0.6017  0.1620
S  0.6017  0.3983  0.6620
S  0.7523  0.2477  0.3326
S  0.8970  0.1030  0.6742

Largest 8 diffraction maxima, by angle, 2θ = 5–70°:
2θ (°)  intensity
9.43  100
18.93  25
29.93  20
32.85  47
38.19  29
40.69  22
45.18  31
51.18  31

=====

Theoretical X-ray powder pattern
Compound: Tb4PmSm2Ho
Radiation: λ = 1.5418 Å (Cu Kα)
Structure: a DFT-relaxed cell (GGA-PBE, Alexandria)

Structure:
Cell: 9.5334 9.5334 6.8391 Å, 111.01 111.01 88.43°
Element x y z (fractional)
Tb  0.2472  0.2476  0.4955
Tb  0.2472  0.7531  0.9998
Tb  0.2469  0.7528  0.5002
Tb  0.2476  0.2472  0.9955
Tb  0.7524  0.7528  0.0045
Tb  0.7528  0.2469  0.0002
Tb  0.7531  0.2472  0.4998
Tb  0.7528  0.7524  0.5045
Pm  0.0000  0.5000  0.0000
Pm  0.5000  0.0000  0.5000
Sm  0.0000  0.5000  0.5000
Sm  0.5000  0.0000  0.0000
Sm  0.5000  0.5000  0.0000
Sm  0.5000  0.5000  0.5000
Ho  0.0000  0.0000  0.0000
Ho  0.0000  0.0000  0.5000

Largest 8 diffraction maxima, by angle, 2θ = 5–70°:
2θ (°)  intensity
26.82  45
30.20  100
40.81  30
40.83  59
53.65  13
60.96  27
62.79  12
64.28  23